This entry pairs a crystal structure of SrTl4 with its theoretical PXRD pattern. Radiation: Cu Kα X-rays. Structure: DFT lattice parameters and positions (GGA-PBE).
Intensities are scaled so that the largest is 100.

Atomic structure:
abc: 5.528 6.940 16.416
angles: 90.00 90.00 90.00
Space group Imma (No. 74)
Symmetry-distinct sites (fractional):
Sr 0.000 0.250 0.101 [4 per cell]
Tl 0.000 0.000 0.500 [4 per cell]
Tl 0.000 0.003 0.700 [8 per cell]
Tl 0.000 0.250 0.885 [4 per cell]

Principal peaks in the range 2θ from 10° to 90°, in order of rising 2θ:
| d_spacing | Position (°2θ) | I_rel |
| --- | --- | --- |
| 2.893 | 30.91 | 85 |
| 2.823 | 31.70 | 100 |
| 2.764 | 32.39 | 50 |
| 2.650 | 33.83 | 39 |
| 1.913 | 47.54 | 30 |
| 1.478 | 62.87 | 29 |

This entry pairs a crystal structure of Zr6In3Pt with its theoretical PXRD pattern. Radiation: Cu Kα X-rays. Structure: DFT lattice parameters and positions (GGA-PBE).
Intensities are scaled so that the largest is 100.

Atomic structure:
abc: 9.446 11.029 4.403
angles: 90.00 90.00 90.00
Space group Pnnm (No. 58)
Symmetry-distinct sites (fractional):
Zr 0.034 0.229 0.000 [4 per cell]
Zr 0.175 0.053 0.500 [4 per cell]
Zr 0.196 0.373 0.500 [4 per cell]
In 0.000 0.500 0.000 [2 per cell]
In 0.149 0.683 0.500 [4 per cell]
Pt 0.000 0.000 0.000 [2 per cell]

Principal peaks in the range 2θ from 10° to 90°, in order of rising 2θ:
| d_spacing | Position (°2θ) | I_rel |
| --- | --- | --- |
| 2.822 | 31.71 | 27 |
| 2.704 | 33.13 | 28 |
| 2.561 | 35.04 | 100 |
| 2.381 | 37.78 | 26 |
| 2.268 | 39.73 | 37 |
| 2.201 | 41.00 | 37 |